Starting from a PBE-relaxed structure, the powder XRD pattern of Pm2NdNi was simulated for Cu Kα X-rays.
Intensities are scaled so that the largest is 100.

Most intense lines, 2θ from 10° to 90°, in order of falling intensity:
2θ 30.85, rel. 100, (0 2 3)
2θ 30.70, rel. 70, (1 1 2)
2θ 33.74, rel. 60, (1 3 1)
2θ 58.37, rel. 33, (2 2 3)
2θ 48.26, rel. 30, (2 0 0)
2θ 36.94, rel. 28, (1 1 3)
2θ 52.75, rel. 27, (1 5 3)
2θ 29.48, rel. 26, (0 4 0)
2θ 37.33, rel. 23, (1 3 2)
2θ 32.47, rel. 23, (1 3 0)

a = 3.772 Å, b = 12.121 Å, c = 9.904 Å
α = 90.00°, β = 90.00°, γ = 90.00°
Positions (direct):
Pm1 0.000 0.138 0.069
Pm2 0.000 0.138 0.431
Pm3 0.000 0.862 0.569
Pm4 0.000 0.862 0.931
Pm5 0.500 0.362 0.569
Pm6 0.500 0.362 0.931
Pm7 0.500 0.638 0.069
Pm8 0.500 0.638 0.431
Nd1 0.000 0.415 0.250
Nd2 0.000 0.585 0.750
Nd3 0.500 0.085 0.750
Nd4 0.500 0.915 0.250
Ni1 0.000 0.270 0.750
Ni2 0.000 0.730 0.250
Ni3 0.500 0.230 0.250
Ni4 0.500 0.770 0.750